No. 1
# Cu4Ag
Computed XRD peak list, λ = 1.5418 Å (Cu Kα). Input: DFT lattice parameters and positions (PBE).
Neutral-atom scattering factors, no anomalous dispersion.

Structure:
```
10
Lattice="2.6834 0.0000 0.0000 0.0000 2.6834 0.0000 0.0000 0.0000 18.0311" Properties=species:S:1:pos:R:3 pbc="T T T"
Cu 0.6708 0.6708 0.8327
Cu 0.6708 0.6708 4.1676
Cu 0.6708 0.6708 8.1807
Cu 0.6708 0.6708 15.5329
Cu 2.0125 2.0125 2.4982
Cu 2.0125 2.0125 9.8505
Cu 2.0125 2.0125 13.8636
Cu 2.0125 2.0125 17.1984
Ag 0.6708 0.6708 11.8574
Ag 2.0125 2.0125 6.1738
```

Largest 10 diffraction maxima, in order of falling intensity, 2θ = 10–90°:
Position (°2θ)	d/Å	I (rel.)
42.0	2.153	1000
47.9	1.897	371
85.2	1.139	226
72.3	1.307	128
70.1	1.342	109
50.6	1.803	101
39.1	2.306	74
45.3	2.003	64
34.9	2.573	49
68.1	1.378	41

---

No. 2
# KAuO3
Computed XRD peak list, λ = 1.5418 Å (Cu Kα). Input: DFT lattice parameters and positions (PBE).
Neutral-atom scattering factors, no anomalous dispersion.

Structure:
```
10
Lattice="3.2092 1.8528 5.1831 -3.2092 1.8528 5.1831 0.0000 -3.7056 5.1831" Properties=species:S:1:pos:R:3 pbc="T T T"
K 0.0000 0.0000 0.0000
K 0.0000 0.0000 7.7747
Au 0.0000 0.0000 3.8873
Au 0.0000 0.0000 11.6620
O -2.2888 -0.2587 6.4789
O -0.9204 -2.1115 9.0705
O 1.3684 -1.8528 6.4789
O -1.3684 1.8528 9.0705
O 0.9204 2.1115 6.4789
O 2.2888 0.2587 9.0705
```

Largest 10 diffraction maxima, in order of falling intensity, 2θ = 10–90°:
Position (°2θ)	d/Å	I (rel.)
19.6	4.522	1000
28.0	3.186	993
27.8	3.209	757
49.3	1.848	363
39.9	2.261	320
49.2	1.853	252
44.7	2.028	214
49.7	1.835	201
34.3	2.617	198
65.1	1.433	185

---

No. 3
# KTb3F10
Computed XRD peak list, λ = 1.5418 Å (Cu Kα). Input: DFT lattice parameters and positions (PBE).
Neutral-atom scattering factors, no anomalous dispersion.

Structure:
```
28
Lattice="0.0000 5.7274 5.7274 5.7274 0.0000 5.7274 5.7274 5.7274 0.0000" Properties=species:S:1:pos:R:3 pbc="T T T"
K 2.8637 2.8637 2.8637
K 8.5911 8.5911 8.5911
Tb 5.7274 5.7274 2.7427
Tb 5.7274 2.7427 5.7274
Tb 8.7120 5.7274 5.7274
Tb 2.7427 5.7274 5.7274
Tb 5.7274 8.7120 5.7274
Tb 5.7274 5.7274 8.7120
F 1.2984 1.2984 1.2984
F 4.4290 4.4290 1.2984
F 4.4290 1.2984 4.4290
F 5.7274 3.8092 3.8092
F 7.6456 5.7274 3.8092
F 7.6456 3.8092 5.7274
F 10.1563 7.0258 7.0258
F 3.8092 5.7274 3.8092
F 5.7274 7.6456 3.8092
F 3.8092 3.8092 5.7274
F 7.6456 7.6456 5.7274
F 5.7274 3.8092 7.6456
F 7.6456 5.7274 7.6456
F 1.2984 4.4290 4.4290
F 3.8092 7.6456 5.7274
F 3.8092 5.7274 7.6456
F 5.7274 7.6456 7.6456
F 7.0258 10.1563 7.0258
F 7.0258 7.0258 10.1563
F 10.1563 10.1563 10.1563
```

Largest 10 diffraction maxima, in order of falling intensity, 2θ = 10–90°:
Position (°2θ)	d/Å	I (rel.)
27.0	3.307	1000
53.0	1.727	557
44.8	2.025	492
31.2	2.864	420
21.9	4.050	221
15.5	5.727	197
71.8	1.314	191
82.5	1.169	166
74.0	1.281	128
88.8	1.102	126

---

No. 4
# DyYZn2Sn2
Computed XRD peak list, λ = 1.5418 Å (Cu Kα). Input: DFT lattice parameters and positions (PBE).
Neutral-atom scattering factors, no anomalous dispersion.

Structure:
```
12
Lattice="4.5056 0.0000 0.0000 -2.2528 3.9019 0.0000 0.0000 0.0000 15.8246" Properties=species:S:1:pos:R:3 pbc="T T T"
Dy 0.0000 0.0000 3.9562
Dy 0.0000 0.0000 11.8685
Y 0.0000 0.0000 0.0000
Y 0.0000 0.0000 7.9123
Zn 0.0000 2.6013 2.5403
Zn 0.0000 2.6013 5.3720
Zn 2.2528 1.3006 10.4526
Zn 2.2528 1.3006 13.2844
Sn 0.0000 2.6013 9.7132
Sn 0.0000 2.6013 14.0238
Sn 2.2528 1.3006 1.8008
Sn 2.2528 1.3006 6.1115
```

Largest 10 diffraction maxima, in order of falling intensity, 2θ = 10–90°:
Position (°2θ)	d/Å	I (rel.)
32.2	2.778	1000
40.0	2.253	662
52.3	1.750	255
67.8	1.382	233
28.5	3.137	212
46.4	1.956	191
62.5	1.486	162
72.7	1.301	114
11.2	7.912	104
77.2	1.235	85

---

No. 5
# Tm3Ge7
Computed XRD peak list, λ = 1.5418 Å (Cu Kα). Input: DFT lattice parameters and positions (PBE).
Neutral-atom scattering factors, no anomalous dispersion.

Structure:
```
10
Lattice="1.9764 -12.3829 0.0000 1.9764 12.3829 0.0000 0.0000 0.0000 4.1139" Properties=species:S:1:pos:R:3 pbc="T T T"
Tm 0.0000 0.0000 0.0000
Tm 1.9764 4.6210 2.0570
Tm 1.9764 -4.6210 2.0570
Ge 1.9764 10.0592 2.0570
Ge 1.9764 7.0481 0.0000
Ge 1.9764 2.3589 0.0000
Ge 1.9764 0.0000 2.0570
Ge 1.9764 -2.3589 0.0000
Ge 1.9764 -7.0481 0.0000
Ge 1.9764 -10.0592 2.0570
```

Largest 10 diffraction maxima, in order of falling intensity, 2θ = 10–90°:
Position (°2θ)	d/Å	I (rel.)
36.3	2.472	1000
44.0	2.057	127
45.9	1.976	114
25.0	3.565	108
75.9	1.253	102
59.9	1.545	100
78.7	1.216	84
65.5	1.425	77
58.3	1.582	73
65.3	1.429	65

---

No. 6
# BaCuSiTe3
Computed XRD peak list, λ = 1.5418 Å (Cu Kα). Input: DFT lattice parameters and positions (PBE).
Neutral-atom scattering factors, no anomalous dispersion.

Structure:
```
24
Lattice="7.6335 0.0000 0.0000 0.0000 8.9475 0.0000 -6.9586 0.0000 11.2778" Properties=species:S:1:pos:R:3 pbc="T T T"
Ba 0.0000 1.1435 0.0000
Ba -3.4793 7.8040 5.6389
Ba -0.7572 3.1668 5.5178
Ba -4.2365 5.7807 11.1566
Cu -1.3618 4.4683 10.0207
Cu 2.1175 4.4792 4.3818
Cu 1.3188 1.5117 7.8536
Cu 4.7981 7.4358 2.2147
Si -4.1665 3.1759 7.8673
Si -0.6872 5.7716 2.2285
Si -2.9954 1.5092 9.0573
Si 0.4839 7.4383 3.4184
Te -1.2870 0.3212 3.3153
Te -4.7662 8.6263 8.9541
Te 0.9274 3.8042 2.1846
Te -2.5519 5.1433 7.8235
Te -1.0461 0.3954 7.8267
Te 2.4332 8.5521 2.1878
Te 4.4562 2.5532 0.0436
Te 0.9769 6.3943 5.6825
Te 2.8333 2.2581 5.5695
Te -0.6460 6.6894 11.2083
Te 1.2594 3.9254 8.9671
Te 4.7387 5.0221 3.3282
```

Largest 10 diffraction maxima, in order of falling intensity, 2θ = 10–90°:
Position (°2θ)	d/Å	I (rel.)
25.4	3.505	1000
27.7	3.225	892
27.1	3.296	600
26.2	3.401	516
30.8	2.906	497
32.2	2.778	482
31.1	2.878	377
28.9	3.091	339
31.7	2.819	326
29.3	3.053	274

---

No. 7
# LiZr
Computed XRD peak list, λ = 1.5418 Å (Cu Kα). Input: DFT lattice parameters and positions (PBE).
Neutral-atom scattering factors, no anomalous dispersion.

Structure:
```
12
Lattice="6.0912 0.0000 0.0000 0.0000 4.8183 0.0000 -0.3103 0.0000 8.3605" Properties=species:S:1:pos:R:3 pbc="T T T"
Li 0.1172 1.2046 0.9597
Li 1.2801 3.6137 1.5334
Li 2.5021 3.6137 7.8142
Li 3.2788 1.2046 0.5463
Li 4.5007 1.2046 6.8272
Li 5.6637 3.6137 7.4009
Zr 0.6022 3.6137 4.4243
Zr 1.4583 1.2046 6.1136
Zr 2.2872 1.2046 3.2740
Zr 3.4936 3.6137 5.0866
Zr 4.3225 3.6137 2.2469
Zr 5.1786 1.2046 3.9362
```

Largest 10 diffraction maxima, in order of falling intensity, 2θ = 10–90°:
Position (°2θ)	d/Å	I (rel.)
10.6	8.361	1000
36.9	2.438	288
34.9	2.573	193
37.3	2.412	190
31.6	2.836	189
35.9	2.502	172
37.3	2.409	155
52.7	1.736	111
38.9	2.315	86
39.7	2.268	80

---

No. 8
# Sr2LiNi
Computed XRD peak list, λ = 1.5418 Å (Cu Kα). Input: DFT lattice parameters and positions (PBE).
Neutral-atom scattering factors, no anomalous dispersion.

Structure:
```
4
Lattice="0.0000 3.7436 3.7436 3.7436 0.0000 3.7436 3.7436 3.7436 0.0000" Properties=species:S:1:pos:R:3 pbc="T T T"
Sr 0.0000 0.0000 0.0000
Sr 1.8718 1.8718 1.8718
Li 5.6154 5.6154 5.6154
Ni 3.7436 3.7436 3.7436
```

Largest 10 diffraction maxima, in order of falling intensity, 2θ = 10–90°:
Position (°2θ)	d/Å	I (rel.)
33.9	2.647	1000
60.6	1.528	357
20.5	4.323	284
48.6	1.872	175
39.9	2.257	154
81.3	1.184	152
71.2	1.324	109
23.8	3.744	75
53.3	1.718	66
64.7	1.441	50

---

Question: Number 3 is which compound?
Answer: KTb3F10